Theoretical powder XRD pattern of Tl2Cd2I5 for Cu Kα, 1.54184 Å, from a PBE-relaxed structure.
No peak broadening, texture or thermal motion is included.

Crystal structure
```
Tl2Cd2I5
1.0
8.043 -3.063 0.000
8.043 3.063 0.000
-3.789 0.000 7.834
Tl Cd I
2 2 5
direct
0.112 0.112 0.289
0.888 0.888 0.711
0.357 0.357 0.136
0.643 0.643 0.864
0.144 0.144 0.895
0.350 0.350 0.468
0.500 0.500 0.000
0.650 0.650 0.532
0.856 0.856 0.105
```

The 10 most intense peaks (10° ≤ 2θ ≤ 90°), in order of rising 2θ:
two_theta	d/Å	I/Imax
17.74	4.998	33
20.55	4.322	46
24.59	3.620	76
25.38	3.509	84
29.15	3.063	100
29.47	3.031	62
34.11	2.628	38
34.40	2.607	51
38.50	2.338	47
45.47	1.995	34

Theoretical powder XRD pattern of TlCdI4 for Cu Kα, 1.54184 Å, from a PBE-relaxed structure.
No peak broadening, texture or thermal motion is included.

Crystal structure
```
TlCdI4
1.0
10.157 -3.345 0.000
10.157 3.345 0.000
-2.645 0.000 8.941
Tl Cd I
2 2 8
direct
0.188 0.188 0.301
0.812 0.812 0.699
0.162 0.162 0.747
0.838 0.838 0.253
0.065 0.065 0.443
0.091 0.091 0.958
0.293 0.293 0.707
0.329 0.329 0.243
0.671 0.671 0.757
0.707 0.707 0.293
0.909 0.909 0.042
0.935 0.935 0.557
```

The 10 most intense peaks (10° ≤ 2θ ≤ 90°), in order of rising 2θ:
two_theta	d/Å	I/Imax
14.00	6.328	95
19.86	4.470	28
24.15	3.686	87
25.43	3.502	20
26.65	3.345	100
29.04	3.074	71
36.26	2.477	60
39.29	2.293	22
39.82	2.264	52
48.11	1.891	24

Theoretical powder XRD pattern of TlCd2I2 for Cu Kα, 1.54184 Å, from a PBE-relaxed structure.
No peak broadening, texture or thermal motion is included.

Crystal structure
```
TlCd2I2
1.0
-2.112 2.112 9.939
2.112 -2.112 9.939
2.112 2.112 -9.939
Tl Cd I
1 2 2
direct
0.000 0.000 0.000
0.250 0.750 0.500
0.750 0.250 0.500
0.395 0.395 0.000
0.605 0.605 0.000
```

The 10 most intense peaks (10° ≤ 2θ ≤ 90°), in order of rising 2θ:
two_theta	d/Å	I/Imax
25.00	3.562	64
30.89	2.895	85
31.27	2.860	100
36.15	2.485	22
42.82	2.112	40
50.22	1.817	19
53.73	1.706	36
55.53	1.655	39
57.25	1.609	23
88.11	1.109	24

Theoretical powder XRD pattern of Tl3Cd2I7 for Cu Kα, 1.54184 Å, from a PBE-relaxed structure.
No peak broadening, texture or thermal motion is included.

Crystal structure
```
Tl3Cd2I7
1.0
14.487 0.000 0.000
0.000 15.292 0.000
0.000 0.000 4.553
Tl Cd I
6 4 14
direct
0.000 0.000 0.000
0.109 0.371 0.000
0.391 0.871 0.000
0.500 0.500 0.000
0.609 0.129 0.000
0.891 0.629 0.000
0.241 0.122 0.500
0.259 0.622 0.500
0.741 0.378 0.500
0.759 0.878 0.500
0.000 0.500 0.500
0.057 0.187 0.500
0.167 0.694 0.000
0.202 0.942 0.500
0.298 0.442 0.500
0.333 0.194 0.000
0.443 0.687 0.500
0.500 0.000 0.500
0.557 0.313 0.500
0.667 0.806 0.000
0.702 0.558 0.500
0.798 0.058 0.500
0.833 0.306 0.000
0.943 0.813 0.500
```

The 10 most intense peaks (10° ≤ 2θ ≤ 90°), in order of rising 2θ:
two_theta	d/Å	I/Imax
24.08	3.696	22
25.27	3.524	29
25.88	3.442	32
26.97	3.306	100
27.55	3.238	63
29.04	3.075	31
31.56	2.834	26
39.58	2.277	55
41.06	2.198	28
48.70	1.870	19